[1]
Simulated powder diffractogram of Sr6Bi2O11 for Cu Kα X-rays, from DFT lattice parameters and positions (GGA-PBE).
Intensities are scaled so that the largest is 100.

```
data_Sr6Bi2O11
_symmetry_space_group_name_H-M 'P 4/n m m'
_symmetry_Int_Tables_number 129
_cell_length_a 8.733
_cell_length_b 8.733
_cell_length_c 9.119
_cell_angle_alpha 90.00
_cell_angle_beta 90.00
_cell_angle_gamma 90.00
loop_
_symmetry_equiv_pos_as_xyz
'x,y,z'
'-x,-y,-z'
'-y+1/2,x,z'
'y+1/2,-x,-z'
'-x+1/2,-y+1/2,z'
'x+1/2,y+1/2,-z'
'y,-x+1/2,z'
'-y,x+1/2,-z'
'x+1/2,-y,-z'
'-x+1/2,y,z'
'-y,-x,-z'
'y,x,z'
'-x,y+1/2,-z'
'x,-y+1/2,z'
'y+1/2,x+1/2,-z'
'-y+1/2,-x+1/2,z'
loop_
_atom_site_label
_atom_site_fract_x
_atom_site_fract_y
_atom_site_fract_z
Sr1 0.025 0.025 0.211
Sr2 0.250 0.250 0.937
Sr3 0.250 0.750 0.500
Bi1 0.250 0.250 0.463
Bi2 0.250 0.750 0.000
O1 0.004 0.750 0.980
O2 0.020 0.250 0.390
O3 0.250 0.250 0.688
O4 0.250 0.750 0.230
```

The 12 most intense peaks (2θ = 15–90°), sorted by position:
| d_spacing | 2θ/deg | I (rel.) | hkl |
| --- | --- | --- | --- |
| 5.113 | 17.34 | 32 | 1 1 1 |
| 4.366 | 20.34 | 17 | 2 0 0 |
| 3.154 | 28.30 | 100 | 2 0 2 |
| 3.087 | 28.92 | 51 | 2 2 0 |
| 2.643 | 33.92 | 12 | 3 1 1 |
| 2.183 | 41.36 | 31 | 4 0 0 |
| 1.969 | 46.10 | 9 | 4 0 2 |
| 1.834 | 49.71 | 13 | 2 2 4 |
| 1.795 | 50.87 | 35 | 4 2 2 |
| 1.544 | 59.92 | 9 | 4 4 0 |
| 1.386 | 67.56 | 10 | 6 0 2 |
| 1.170 | 82.40 | 10 | 6 4 2 |

---

[2]
Simulated powder diffractogram of SrBiO4 for Cu Kα X-rays, from DFT lattice parameters and positions (GGA-PBE).
Intensities are scaled so that the largest is 100.

```
data_SrBiO4
_symmetry_space_group_name_H-M 'C 1 2/m 1'
_symmetry_Int_Tables_number 12
_symmetry_space_group_name_Hall '-C 2y'
_cell_length_a 5.359
_cell_length_b 5.360
_cell_length_c 6.054
_cell_angle_alpha 90.00
_cell_angle_beta 90.07
_cell_angle_gamma 90.00
loop_
_atom_site_label
_atom_site_fract_x
_atom_site_fract_y
_atom_site_fract_z
Sr1 0.000 0.000 0.000
Bi1 0.000 0.500 0.500
O1 0.250 0.250 0.284
```

The 12 most intense peaks (2θ = 15–90°), sorted by position:
| d_spacing | 2θ/deg | I (rel.) | hkl |
| --- | --- | --- | --- |
| 3.790 | 23.47 | 12 | 1 1 0 |
| 3.212 | 27.77 | 100 | 1 1 1 |
| 3.027 | 29.51 | 13 | 0 0 2 |
| 2.680 | 33.44 | 18 | 2 0 0 |
| 2.365 | 38.04 | 7 | 1 1 2 |
| 2.007 | 45.19 | 38 | 2 0 2 |
| 1.895 | 48.01 | 16 | 2 2 0 |
| 1.781 | 51.29 | 19 | 1 1 3 |
| 1.632 | 56.37 | 29 | 3 1 1 |
| 1.606 | 57.37 | 9 | 2 2 2 |
| 1.298 | 72.86 | 10 | 1 3 3 |
| 1.183 | 81.37 | 6 | 2 2 -4 |